No. 1
Structure and calculated powder XRD pattern of LiPd3Pb (a structure optimized by DFT (GGA-PBE); λ = 1.5418 Å (Cu Kα)).
Lines closer than 0.1° are merged.

Structural model:
abc: 9.7020 9.7020 4.1856
angles: 90.00 90.00 155.27
Atoms (fractional coordinates):
1 Li 0.1464 0.8536 0.7500
2 Li 0.8536 0.1464 0.2500
3 Pd 0.0507 0.9493 0.2500
4 Pd 0.2500 0.7500 0.2500
5 Pd 0.4496 0.5504 0.2500
6 Pd 0.5504 0.4496 0.7500
7 Pd 0.7500 0.2500 0.7500
8 Pd 0.9493 0.0507 0.7500
9 Pb 0.3522 0.6478 0.7500
10 Pb 0.6478 0.3522 0.2500

Main lines, low angle first (2θ = 10–80°):
2θ/deg  Rel. int.
21.90  10
23.23  23
25.66  18
38.68  100
43.23  18
43.56  18
48.00  13
63.05  12
66.56  10
66.81  10
76.24  14
76.71  13

No. 2
Structure and calculated powder XRD pattern of LiPrPd4Pb2 (a structure optimized by DFT (GGA-PBE); λ = 1.5418 Å (Cu Kα)).
Lines closer than 0.1° are merged.

Structural model:
abc: 8.6551 8.6551 8.6551
angles: 31.67 31.67 31.67
Atoms (fractional coordinates):
1 Li 0.0000 0.0000 0.0000
2 Pr 0.5000 0.5000 0.5000
3 Pd 0.1060 0.1060 0.1060
4 Pd 0.3725 0.3725 0.3725
5 Pd 0.6275 0.6275 0.6275
6 Pd 0.8940 0.8940 0.8940
7 Pb 0.2572 0.2572 0.2572
8 Pb 0.7428 0.7428 0.7428

Main lines, low angle first (2θ = 10–80°):
2θ/deg  Rel. int.
21.64  19
22.03  8
22.91  17
28.35  20
36.52  87
38.10  100
44.24  19
46.20  7
53.80  29
64.67  8
67.82  29
68.85  18

No. 3
Structure and calculated powder XRD pattern of LiPdPtPb (a structure optimized by DFT (GGA-PBE); λ = 1.5418 Å (Cu Kα)).
Lines closer than 0.1° are merged.

Structural model:
abc: 4.9011 4.9011 4.9011
angles: 129.85 129.85 73.65
Atoms (fractional coordinates):
1 Li 0.0000 0.0000 0.0000
2 Pd 0.2500 0.7500 0.5000
3 Pt 0.7500 0.2500 0.5000
4 Pb 0.5000 0.5000 0.0000

Main lines, low angle first (2θ = 10–80°):
2θ/deg  Rel. int.
22.67  3
24.24  57
38.28  100
40.77  15
43.57  35
46.28  15
50.48  17
61.19  10
63.33  16
65.44  21
68.84  3
76.46  27